Structure and calculated powder XRD pattern of KSb12Pt4 (the PBE geometry in Alexandria; a wavelength of 1.5418 Å).

abc: 8.351 8.351 8.351
angles: 109.47 109.47 109.47
Fractional coordinates of all 17 atoms:
K 0.000 0.000 0.000
Sb 0.156 0.345 0.501
Sb 0.156 0.655 0.811
Sb 0.189 0.844 0.345
Sb 0.345 0.189 0.844
Sb 0.345 0.501 0.156
Sb 0.499 0.844 0.655
Sb 0.501 0.156 0.345
Sb 0.655 0.499 0.844
Sb 0.655 0.811 0.156
Sb 0.811 0.156 0.655
Sb 0.844 0.345 0.189
Sb 0.844 0.655 0.499
Pt 0.000 0.000 0.500
Pt 0.000 0.500 0.000
Pt 0.500 0.000 0.000
Pt 0.500 0.500 0.500

Most intense lines, 2θ = 10–90°, sorted by position:
| 2θ/deg | d (Å) | Rel. int. |
| --- | --- | --- |
| 18.40 | 4.821 | 41 |
| 29.29 | 3.049 | 100 |
| 34.81 | 2.577 | 33 |
| 41.90 | 2.156 | 74 |
| 46.12 | 1.968 | 57 |
| 48.12 | 1.891 | 31 |

***

Structure and calculated powder XRD pattern of KUSb2Pt2 (the PBE geometry in Alexandria; a wavelength of 1.5418 Å).

abc: 4.444 4.444 9.533
angles: 90.00 90.00 120.00
Fractional coordinates of all 6 atoms:
K 0.000 0.000 0.000
U 0.000 0.000 0.500
Sb 0.333 0.667 0.736
Sb 0.667 0.333 0.264
Pt 0.333 0.667 0.340
Pt 0.667 0.333 0.660

Most intense lines, 2θ = 10–90°, sorted by position:
| 2θ/deg | d (Å) | Rel. int. |
| --- | --- | --- |
| 29.84 | 2.994 | 100 |
| 36.67 | 2.450 | 45 |
| 40.60 | 2.222 | 60 |
| 41.74 | 2.164 | 24 |
| 51.20 | 1.784 | 22 |
| 67.30 | 1.391 | 20 |

***

Structure and calculated powder XRD pattern of K2Si12Pt7 (the PBE geometry in Alexandria; a wavelength of 1.5418 Å).

abc: 10.096 10.096 4.036
angles: 90.00 90.00 120.00
Fractional coordinates of all 21 atoms:
K 0.333 0.667 0.244
K 0.667 0.333 0.756
Si 0.072 0.629 0.765
Si 0.128 0.864 0.231
Si 0.136 0.264 0.231
Si 0.264 0.128 0.769
Si 0.371 0.442 0.765
Si 0.442 0.072 0.235
Si 0.558 0.928 0.765
Si 0.629 0.558 0.235
Si 0.736 0.872 0.231
Si 0.864 0.736 0.769
Si 0.872 0.136 0.769
Si 0.928 0.371 0.235
Pt 0.000 0.000 0.000
Pt 0.092 0.392 0.721
Pt 0.300 0.908 0.721
Pt 0.392 0.300 0.279
Pt 0.608 0.700 0.721
Pt 0.700 0.092 0.279
Pt 0.908 0.608 0.279

Most intense lines, 2θ = 10–90°, sorted by position:
| 2θ/deg | d (Å) | Rel. int. |
| --- | --- | --- |
| 26.98 | 3.305 | 100 |
| 28.31 | 3.152 | 92 |
| 30.14 | 2.965 | 41 |
| 35.10 | 2.557 | 45 |
| 43.54 | 2.079 | 44 |
| 50.83 | 1.796 | 46 |

***

Structure and calculated powder XRD pattern of KSi4Pt4 (the PBE geometry in Alexandria; a wavelength of 1.5418 Å).

abc: 6.421 6.421 6.421
angles: 97.50 97.50 137.63
Fractional coordinates of all 9 atoms:
K 0.000 0.000 0.000
Si 0.136 0.636 0.272
Si 0.364 0.864 0.728
Si 0.636 0.364 0.500
Si 0.864 0.136 0.500
Pt 0.076 0.924 0.500
Pt 0.424 0.576 0.500
Pt 0.576 0.076 0.152
Pt 0.924 0.424 0.848

Most intense lines, 2θ = 10–90°, sorted by position:
| 2θ/deg | d (Å) | Rel. int. |
| --- | --- | --- |
| 14.80 | 5.987 | 22 |
| 20.98 | 4.234 | 39 |
| 30.47 | 2.934 | 100 |
| 33.47 | 2.678 | 32 |
| 48.47 | 1.878 | 53 |
| 61.26 | 1.513 | 21 |

***

Structure and calculated powder XRD pattern of K2Si2Pt3 (the PBE geometry in Alexandria; a wavelength of 1.5418 Å).

abc: 6.605 6.605 7.984
angles: 123.39 123.39 34.59
Fractional coordinates of all 7 atoms:
K 0.137 0.137 0.256
K 0.863 0.863 0.744
Si 0.122 0.122 0.733
Si 0.878 0.878 0.267
Pt 0.342 0.342 0.076
Pt 0.500 0.500 0.500
Pt 0.658 0.658 0.924

Most intense lines, 2θ = 10–90°, sorted by position:
| 2θ/deg | d (Å) | Rel. int. |
| --- | --- | --- |
| 14.52 | 6.101 | 100 |
| 24.25 | 3.670 | 26 |
| 31.19 | 2.867 | 48 |
| 34.29 | 2.615 | 20 |
| 40.60 | 2.222 | 33 |
| 42.85 | 2.111 | 16 |

***

Structure and calculated powder XRD pattern of K2Sn4Pt5 (the PBE geometry in Alexandria; a wavelength of 1.5418 Å).

abc: 9.881 8.738 6.193
angles: 80.92 60.84 38.24
Fractional coordinates of all 11 atoms:
K 0.124 0.124 0.876
K 0.876 0.876 0.124
Sn 0.212 0.535 0.465
Sn 0.465 0.788 0.212
Sn 0.535 0.212 0.788
Sn 0.788 0.465 0.535
Pt 0.000 0.000 0.500
Pt 0.250 0.250 0.250
Pt 0.500 0.500 0.000
Pt 0.500 0.500 0.500
Pt 0.750 0.750 0.750

Most intense lines, 2θ = 10–90°, sorted by position:
| 2θ/deg | d (Å) | Rel. int. |
| --- | --- | --- |
| 16.23 | 5.460 | 100 |
| 18.04 | 4.918 | 61 |
| 33.27 | 2.693 | 52 |
| 37.75 | 2.383 | 67 |
| 39.61 | 2.275 | 61 |
| 41.34 | 2.184 | 96 |

***

Structure and calculated powder XRD pattern of K3Sn4Pt7 (the PBE geometry in Alexandria; a wavelength of 1.5418 Å).

abc: 8.969 8.969 11.682
angles: 130.06 130.06 29.21
Fractional coordinates of all 14 atoms:
K 0.000 0.000 0.000
K 0.276 0.276 0.281
K 0.724 0.724 0.719
Sn 0.101 0.101 0.390
Sn 0.332 0.332 0.023
Sn 0.668 0.668 0.977
Sn 0.899 0.899 0.610
Pt 0.000 0.000 0.500
Pt 0.117 0.117 0.820
Pt 0.311 0.311 0.591
Pt 0.496 0.496 0.362
Pt 0.504 0.504 0.638
Pt 0.689 0.689 0.409
Pt 0.883 0.883 0.180

Most intense lines, 2θ = 10–90°, sorted by position:
| 2θ/deg | d (Å) | Rel. int. |
| --- | --- | --- |
| 10.14 | 8.724 | 100 |
| 10.25 | 8.633 | 69 |
| 15.17 | 5.841 | 97 |
| 39.87 | 2.261 | 55 |
| 40.09 | 2.249 | 47 |
| 42.94 | 2.106 | 61 |

***

Structure and calculated powder XRD pattern of K4SnPt5 (the PBE geometry in Alexandria; a wavelength of 1.5418 Å).

abc: 7.752 7.752 9.961
angles: 129.90 129.90 48.15
Fractional coordinates of all 10 atoms:
K 0.095 0.095 0.288
K 0.307 0.306 0.899
K 0.694 0.693 0.101
K 0.905 0.905 0.712
Sn 0.228 0.772 0.500
Pt 0.333 0.304 0.259
Pt 0.455 0.427 0.625
Pt 0.573 0.545 0.375
Pt 0.696 0.667 0.741
Pt 0.833 0.167 0.500

Most intense lines, 2θ = 10–90°, sorted by position:
| 2θ/deg | d (Å) | Rel. int. |
| --- | --- | --- |
| 12.50 | 7.083 | 100 |
| 16.58 | 5.348 | 48 |
| 28.26 | 3.158 | 24 |
| 35.24 | 2.547 | 23 |
| 35.33 | 2.540 | 23 |
| 40.40 | 2.233 | 21 |

***

Structure and calculated powder XRD pattern of KTcPt2 (the PBE geometry in Alexandria; a wavelength of 1.5418 Å).

abc: 2.849 2.849 9.066
angles: 90.00 90.00 90.00
Fractional coordinates of all 4 atoms:
K 0.000 0.000 0.000
Tc 0.000 0.000 0.500
Pt 0.500 0.500 0.300
Pt 0.500 0.500 0.700

Most intense lines, 2θ = 10–90°, sorted by position:
| 2θ/deg | d (Å) | Rel. int. |
| --- | --- | --- |
| 19.58 | 4.533 | 16 |
| 31.40 | 2.849 | 23 |
| 37.28 | 2.412 | 100 |
| 43.66 | 2.073 | 45 |
| 45.00 | 2.014 | 40 |
| 77.89 | 1.226 | 23 |

***

Structure and calculated powder XRD pattern of KTePt (the PBE geometry in Alexandria; a wavelength of 1.5418 Å).

abc: 8.478 8.478 5.180
angles: 90.00 90.00 120.00
Fractional coordinates of all 9 atoms:
K 0.000 0.458 0.333
K 0.458 0.000 0.667
K 0.542 0.542 0.000
Te 0.000 0.730 0.833
Te 0.270 0.270 0.500
Te 0.730 0.000 0.167
Pt 0.000 0.135 0.833
Pt 0.135 0.000 0.167
Pt 0.865 0.865 0.500

Most intense lines, 2θ = 10–90°, sorted by position:
| 2θ/deg | d (Å) | Rel. int. |
| --- | --- | --- |
| 12.05 | 7.342 | 100 |
| 27.18 | 3.281 | 22 |
| 29.83 | 2.995 | 38 |
| 36.75 | 2.446 | 31 |
| 42.70 | 2.117 | 20 |
| 48.04 | 1.894 | 15 |

***

Structure and calculated powder XRD pattern of K3Tl5Pt2 (the PBE geometry in Alexandria; a wavelength of 1.5418 Å).

abc: 12.212 12.212 4.127
angles: 90.00 90.00 90.00
Fractional coordinates of all 20 atoms:
K 0.000 0.000 0.000
K 0.176 0.324 0.000
K 0.324 0.824 0.000
K 0.500 0.500 0.000
K 0.676 0.176 0.000
K 0.824 0.676 0.000
Tl 0.000 0.500 0.500
Tl 0.069 0.774 0.500
Tl 0.226 0.069 0.500
Tl 0.274 0.569 0.500
Tl 0.431 0.274 0.500
Tl 0.500 0.000 0.500
Tl 0.569 0.726 0.500
Tl 0.726 0.431 0.500
Tl 0.774 0.931 0.500
Tl 0.931 0.226 0.500
Pt 0.117 0.617 0.000
Pt 0.383 0.117 0.000
Pt 0.617 0.883 0.000
Pt 0.883 0.383 0.000

Most intense lines, 2θ = 10–90°, sorted by position:
| 2θ/deg | d (Å) | Rel. int. |
| --- | --- | --- |
| 10.24 | 8.635 | 52 |
| 16.23 | 5.461 | 100 |
| 30.17 | 2.962 | 42 |
| 31.73 | 2.820 | 69 |
| 34.25 | 2.618 | 83 |
| 36.61 | 2.454 | 47 |

***

Structure and calculated powder XRD pattern of K2Tl6Pt (the PBE geometry in Alexandria; a wavelength of 1.5418 Å).

abc: 7.359 7.359 7.359
angles: 60.04 60.04 60.04
Fractional coordinates of all 9 atoms:
K 0.250 0.250 0.250
K 0.750 0.750 0.750
Tl 0.228 0.228 0.772
Tl 0.228 0.772 0.228
Tl 0.228 0.772 0.772
Tl 0.772 0.228 0.228
Tl 0.772 0.228 0.772
Tl 0.772 0.772 0.228
Pt 0.500 0.500 0.500

Most intense lines, 2θ = 10–90°, sorted by position:
| 2θ/deg | d (Å) | Rel. int. |
| --- | --- | --- |
| 17.03 | 5.205 | 70 |
| 29.73 | 3.005 | 100 |
| 34.46 | 2.603 | 93 |
| 37.66 | 2.388 | 30 |
| 49.53 | 1.840 | 62 |
| 58.84 | 1.569 | 35 |

***

What did the ninth record say?
Structure and calculated powder XRD pattern of KTcPt2 (the PBE geometry in Alexandria; a wavelength of 1.5418 Å).

abc: 2.849 2.849 9.066
angles: 90.00 90.00 90.00
Fractional coordinates of all 4 atoms:
K 0.000 0.000 0.000
Tc 0.000 0.000 0.500
Pt 0.500 0.500 0.300
Pt 0.500 0.500 0.700

Most intense lines, 2θ = 10–90°, sorted by position:
| 2θ/deg | d (Å) | Rel. int. |
| --- | --- | --- |
| 19.58 | 4.533 | 16 |
| 31.40 | 2.849 | 23 |
| 37.28 | 2.412 | 100 |
| 43.66 | 2.073 | 45 |
| 45.00 | 2.014 | 40 |
| 77.89 | 1.226 | 23 |